(1)
Er2Sc3Se6: simulated XRD peak list (Cu Kα), based on a crystal structure in Alexandria, relaxed with GGA-PBE.
Intensities are scaled so that the largest is 100.

Largest 12 diffraction maxima, in order of rising 2θ, 2θ from 5° to 70°:
hkl 0 0 6, 2θ 9.06, 9.759 Å, I = 27.8; hkl 0 0 9, 2θ 13.61, 6.506 Å, I = 38.9; hkl 1 0 1, 2θ 25.85, 3.446 Å, I = 11.6; hkl 0 1 8, 2θ 28.59, 3.122 Å, I = 40.7; hkl 0 1 11, 2θ 30.87, 2.896 Å, I = 100.0; hkl 0 1 14, 2θ 33.66, 2.662 Å, I = 39.2; hkl 0 1 17, 2θ 36.86, 2.438 Å, I = 12.2; hkl 1 0 19, 2θ 39.19, 2.299 Å, I = 17.1; hkl 1 1 0, 2θ 45.51, 1.993 Å, I = 60.9; hkl 1 0 25, 2θ 46.88, 1.938 Å, I = 45.2; hkl 2 0 11, 2θ 56.01, 1.642 Å, I = 17.8; hkl 0 2 25, 2θ 67.40, 1.389 Å, I = 14.9

Structural model:
a = 3.9860 Å, b = 3.9860 Å, c = 58.5565 Å
α = 90.00°, β = 90.00°, γ = 120.00°
Space group R-3m (No. 166, hexagonal axes)
Inequivalent atoms, fractional coordinates:
Er: 0.0000 0.0000 0.0557 x6
Sc: 0.0000 0.0000 0.2179 x6
Sc: 0.0000 0.0000 0.5000 x3
Se: 0.0000 0.0000 0.1406 x6
Se: 0.0000 0.0000 0.3024 x6
Se: 0.0000 0.0000 0.4213 x6

---

(2)
Tb2ErScSe5: simulated XRD peak list (Cu Kα), based on a crystal structure in Alexandria, relaxed with GGA-PBE.
Intensities are scaled so that the largest is 100.

Largest 12 diffraction maxima, in order of rising 2θ, 2θ from 5° to 70°:
hkl 0 0 1, 2θ 8.62, 10.262 Å, I = 81.7; hkl 1 1 0, 2θ 24.70, 3.604 Å, I = 100.0; hkl 1 1 2, 2θ 30.33, 2.947 Å, I = 21.4; hkl 1 0 3, 2θ 31.51, 2.840 Å, I = 49.9; hkl 0 0 4, 2θ 34.97, 2.566 Å, I = 22.9; hkl 2 0 0, 2θ 35.25, 2.546 Å, I = 71.0; hkl 1 1 4, 2θ 43.30, 2.089 Å, I = 16.1; hkl 2 1 3, 2θ 47.99, 1.896 Å, I = 31.3; hkl 2 0 4, 2θ 50.50, 1.807 Å, I = 31.8; hkl 2 2 0, 2θ 50.71, 1.800 Å, I = 25.0; hkl 3 1 0, 2θ 57.20, 1.610 Å, I = 17.4; hkl 2 2 4, 2θ 63.09, 1.474 Å, I = 16.2

Structural model:
a = 5.092 Å, b = 5.092 Å, c = 10.262 Å
α = 90.00°, β = 90.00°, γ = 90.00°
Space group P4/mmm (No. 123)
Inequivalent atoms, fractional coordinates:
Tb: 0.000 0.000 0.205 x2
Er: 0.500 0.500 0.000 x1
Sc: 0.500 0.500 0.500 x1
Se: 0.000 0.000 0.500 x1
Se: 0.000 0.500 0.000 x2
Se: 0.500 0.500 0.261 x2

---

(3)
TbEr2ScSe6: simulated XRD peak list (Cu Kα), based on a crystal structure in Alexandria, relaxed with GGA-PBE.
Intensities are scaled so that the largest is 100.

Largest 12 diffraction maxima, in order of rising 2θ, 2θ from 5° to 70°:
hkl 0 1 2, 2θ 17.17, 5.164 Å, I = 48.7; hkl 1 0 4, 2θ 23.56, 3.776 Å, I = 50.2; hkl 1 1 0, 2θ 25.17, 3.538 Å, I = 27.7; hkl 1 1 3, 2θ 28.84, 3.096 Å, I = 76.4; hkl 0 2 4, 2θ 34.75, 2.582 Å, I = 32.6; hkl 2 -1 6, 2θ 37.94, 2.372 Å, I = 100.0; hkl 3 -1 4, 2θ 43.39, 2.086 Å, I = 29.7; hkl 3 0 0, 2θ 44.34, 2.043 Å, I = 62.9; hkl 1 0 10, 2θ 49.83, 1.830 Å, I = 15.6; hkl 2 -1 9, 2θ 49.97, 1.825 Å, I = 15.4; hkl 2 2 6, 2θ 59.74, 1.548 Å, I = 25.0; hkl 2 1 10, 2θ 62.92, 1.477 Å, I = 11.5

Structural model:
a = 7.0765 Å, b = 7.0765 Å, c = 19.1757 Å
α = 90.00°, β = 90.00°, γ = 120.00°
Space group R3 (No. 146, hexagonal axes)
Inequivalent atoms, fractional coordinates:
Tb: 0.0000 0.0000 0.0000 x3
Er: 0.0000 0.0000 0.3029 x3
Er: 0.0000 0.0000 0.8057 x3
Sc: 0.0000 0.0000 0.4963 x3
Se: 0.0006 0.7006 0.4041 x9
Se: 0.0271 0.3449 0.5680 x9

---

(4)
Sm3Er7Sc: simulated XRD peak list (Cu Kα), based on a crystal structure in Alexandria, relaxed with GGA-PBE.
Intensities are scaled so that the largest is 100.

Largest 12 diffraction maxima, in order of rising 2θ, 2θ from 5° to 70°:
hkl 0 0 1, 2θ 10.37, 8.532 Å, I = 5.0; hkl 1 0 0, 2θ 14.68, 6.033 Å, I = 3.3; hkl 0 1 1, 2θ 18.01, 4.926 Å, I = 9.6; hkl 1 0 2, 2θ 25.57, 3.483 Å, I = 7.6; hkl 2 0 1, 2θ 31.46, 2.844 Å, I = 100.0; hkl 0 2 2, 2θ 36.48, 2.463 Å, I = 51.0; hkl 1 2 1, 2θ 40.97, 2.203 Å, I = 4.5; hkl 3 0 0, 2θ 45.08, 2.011 Å, I = 3.6; hkl 2 2 0, 2θ 52.55, 1.742 Å, I = 35.3; hkl 3 0 3, 2θ 56.01, 1.642 Å, I = 2.3; hkl 0 4 1, 2θ 62.54, 1.485 Å, I = 42.0; hkl 4 0 2, 2θ 65.66, 1.422 Å, I = 12.1

Structural model:
a = 6.9661 Å, b = 6.9661 Å, c = 8.5317 Å
α = 90.00°, β = 90.00°, γ = 120.00°
Space group P3m1 (No. 156)
Inequivalent atoms, fractional coordinates:
Sm: 0.0015 0.5007 0.0000 x3
Er: 0.1683 0.3366 0.6577 x3
Er: 0.3354 0.1677 0.3347 x3
Er: 0.6667 0.3333 0.6602 x1
Sc: 0.3333 0.6667 0.3368 x1

---

(5)
SmEr5Sc5: simulated XRD peak list (Cu Kα), based on a crystal structure in Alexandria, relaxed with GGA-PBE.
Intensities are scaled so that the largest is 100.

Largest 12 diffraction maxima, in order of rising 2θ, 2θ from 5° to 70°:
hkl 0 0 1, 2θ 7.86, 11.245 Å, I = 20.5; hkl 1 0 2, 2θ 23.81, 3.737 Å, I = 15.6; hkl 1 0 3, 2θ 29.80, 2.998 Å, I = 100.0; hkl 1 1 0, 2θ 31.00, 2.885 Å, I = 86.0; hkl 1 1 1, 2θ 32.03, 2.795 Å, I = 21.6; hkl 1 0 4, 2θ 36.68, 2.450 Å, I = 15.7; hkl 1 1 3, 2θ 39.43, 2.285 Å, I = 17.2; hkl 2 0 3, 2θ 43.53, 2.079 Å, I = 24.5; hkl 2 1 3, 2θ 54.40, 1.687 Å, I = 37.4; hkl 3 0 0, 2θ 55.14, 1.666 Å, I = 17.0; hkl 1 1 6, 2θ 58.75, 1.572 Å, I = 19.0; hkl 2 2 0, 2θ 64.61, 1.443 Å, I = 14.1

Structural model:
a = 5.7701 Å, b = 5.7701 Å, c = 11.2449 Å
α = 90.00°, β = 90.00°, γ = 120.00°
Space group P-6m2 (No. 187)
Inequivalent atoms, fractional coordinates:
Sm: 0.0000 0.0000 0.0000 x1
Er: 0.0000 0.0000 0.3224 x2
Er: 0.3333 0.6667 0.1619 x2
Er: 0.6667 0.3333 0.0000 x1
Sc: 0.5020 0.0039 0.5000 x3
Sc: 0.6667 0.3333 0.2688 x2

---

(6)
Sm6Er12Sc: simulated XRD peak list (Cu Kα), based on a crystal structure in Alexandria, relaxed with GGA-PBE.
Intensities are scaled so that the largest is 100.

Largest 12 diffraction maxima, in order of rising 2θ, 2θ from 5° to 70°:
hkl 2 -1 3, 2θ 23.78, 3.741 Å, I = 20.3; hkl 3 0 0, 2θ 25.32, 3.517 Å, I = 12.4; hkl 4 -3 1, 2θ 31.20, 2.866 Å, I = 100.0; hkl 0 3 3, 2θ 31.68, 2.825 Å, I = 55.2; hkl 0 1 5, 2θ 32.61, 2.746 Å, I = 50.2; hkl 3 1 2, 2θ 33.10, 2.706 Å, I = 75.3; hkl 2 1 4, 2θ 33.78, 2.654 Å, I = 46.9; hkl 2 5 0, 2θ 54.29, 1.690 Å, I = 13.7; hkl 1 4 6, 2θ 55.67, 1.651 Å, I = 14.9; hkl 7 -5 3, 2θ 57.94, 1.592 Å, I = 22.8; hkl 6 2 1, 2θ 63.96, 1.456 Å, I = 15.1; hkl 7 -2 6, 2θ 68.16, 1.376 Å, I = 13.6

Structural model:
a = 12.1841 Å, b = 12.1841 Å, c = 14.2202 Å
α = 90.00°, β = 90.00°, γ = 120.00°
Space group R-3 (No. 148, hexagonal axes)
Inequivalent atoms, fractional coordinates:
Sm: 0.0250 0.5902 0.2103 x18
Er: 0.0436 0.8638 0.3106 x18
Er: 0.0654 0.1953 0.9062 x18
Sc: 0.0000 0.0000 0.5000 x3

---

(7)
SmEr3Sc2: simulated XRD peak list (Cu Kα), based on a crystal structure in Alexandria, relaxed with GGA-PBE.
Intensities are scaled so that the largest is 100.

Largest 12 diffraction maxima, in order of rising 2θ, 2θ from 5° to 70°:
hkl 2 0 -1, 2θ 10.46, 8.457 Å, I = 100.0; hkl 4 0 -2, 2θ 21.01, 4.229 Å, I = 28.5; hkl 3 1 0, 2θ 29.22, 3.056 Å, I = 41.8; hkl 6 0 -3, 2θ 31.74, 2.819 Å, I = 80.9; hkl 3 1 1, 2θ 31.98, 2.798 Å, I = 51.9; hkl 1 1 -2, 2θ 32.15, 2.785 Å, I = 36.2; hkl 2 0 3, 2θ 32.25, 2.776 Å, I = 82.5; hkl 8 0 0, 2θ 33.53, 2.673 Å, I = 74.2; hkl 5 1 0, 2θ 33.77, 2.655 Å, I = 59.3; hkl 3 1 -3, 2θ 38.39, 2.344 Å, I = 31.3; hkl 0 2 0, 2θ 54.23, 1.691 Å, I = 25.1; hkl 6 2 -3, 2θ 64.22, 1.450 Å, I = 25.4

Structural model:
a = 22.478 Å, b = 3.383 Å, c = 9.849 Å
α = 90.00°, β = 107.98°, γ = 90.00°
Space group C2/m (No. 12)
Inequivalent atoms, fractional coordinates:
Sm: 0.183 0.000 0.045 x4
Er: 0.060 0.000 0.436 x4
Er: 0.068 0.500 0.769 x4
Er: 0.197 0.000 0.709 x4
Sc: 0.070 0.500 0.141 x4
Sc: 0.192 0.000 0.375 x4

---

(8)
Sm2ErSc6: simulated XRD peak list (Cu Kα), based on a crystal structure in Alexandria, relaxed with GGA-PBE.
Intensities are scaled so that the largest is 100.

Largest 12 diffraction maxima, in order of rising 2θ, 2θ from 5° to 70°:
hkl 1 1 0, 2θ 19.21, 4.621 Å, I = 57.8; hkl 0 0 1, 2θ 27.13, 3.287 Å, I = 2.9; hkl 1 1 1, 2θ 33.45, 2.679 Å, I = 100.0; hkl 3 0 0, 2θ 33.59, 2.668 Å, I = 74.2; hkl 2 2 0, 2θ 38.98, 2.311 Å, I = 10.1; hkl 3 0 1, 2θ 43.70, 2.071 Å, I = 5.5; hkl 2 2 1, 2θ 48.14, 1.890 Å, I = 35.4; hkl 4 1 0, 2θ 52.38, 1.747 Å, I = 9.0; hkl 0 0 2, 2θ 55.95, 1.644 Å, I = 5.5; hkl 1 1 2, 2θ 59.72, 1.548 Å, I = 6.1; hkl 3 3 0, 2θ 60.00, 1.542 Å, I = 49.3; hkl 3 0 2, 2θ 66.86, 1.399 Å, I = 18.9

Structural model:
a = 9.2422 Å, b = 9.2422 Å, c = 3.2870 Å
α = 90.00°, β = 90.00°, γ = 120.00°
Space group P6/mmm (No. 191)
Inequivalent atoms, fractional coordinates:
Sm: 0.3333 0.6667 0.0000 x2
Er: 0.0000 0.0000 0.0000 x1
Sc: 0.0000 0.3314 0.5000 x6

---

(9)
Sm6ErSc6: simulated XRD peak list (Cu Kα), based on a crystal structure in Alexandria, relaxed with GGA-PBE.
Intensities are scaled so that the largest is 100.

Largest 12 diffraction maxima, in order of rising 2θ, 2θ from 5° to 70°:
hkl 1 1 0, 2θ 27.60, 3.231 Å, I = 100.0; hkl 1 0 3, 2θ 29.24, 3.055 Å, I = 41.3; hkl 1 1 2, 2θ 32.18, 2.782 Å, I = 71.5; hkl 0 0 4, 2θ 32.75, 2.734 Å, I = 17.3; hkl 2 0 2, 2θ 36.05, 2.491 Å, I = 31.4; hkl 1 1 3, 2θ 37.18, 2.418 Å, I = 21.8; hkl 1 1 4, 2θ 43.35, 2.087 Å, I = 17.0; hkl 3 0 0, 2θ 48.81, 1.866 Å, I = 21.3; hkl 2 1 3, 2θ 49.84, 1.830 Å, I = 18.9; hkl 3 0 2, 2θ 51.77, 1.766 Å, I = 18.5; hkl 2 2 0, 2θ 57.00, 1.616 Å, I = 24.2; hkl 1 1 6, 2θ 58.10, 1.588 Å, I = 34.7

Structural model:
a = 6.4630 Å, b = 6.4630 Å, c = 10.9368 Å
α = 90.00°, β = 90.00°, γ = 120.00°
Space group P6/mmm (No. 191)
Inequivalent atoms, fractional coordinates:
Sm: 0.0000 0.0000 0.1655 x2
Sm: 0.3333 0.6667 0.0000 x2
Sm: 0.3333 0.6667 0.5000 x2
Er: 0.0000 0.0000 0.5000 x1
Sc: 0.0000 0.5000 0.2564 x6

---

(10)
Sm3Er4Sc: simulated XRD peak list (Cu Kα), based on a crystal structure in Alexandria, relaxed with GGA-PBE.
Intensities are scaled so that the largest is 100.

Largest 12 diffraction maxima, in order of rising 2θ, 2θ from 5° to 70°:
hkl 0 2 1, 2θ 28.65, 3.116 Å, I = 24.3; hkl 0 0 2, 2θ 28.76, 3.104 Å, I = 12.2; hkl 4 0 0, 2θ 31.97, 2.799 Å, I = 35.7; hkl 2 2 1, 2θ 32.89, 2.723 Å, I = 100.0; hkl 2 0 2, 2θ 33.00, 2.714 Å, I = 49.3; hkl 4 0 2, 2θ 43.48, 2.081 Å, I = 24.2; hkl 0 4 0, 2θ 50.67, 1.801 Å, I = 10.1; hkl 0 2 3, 2θ 50.89, 1.794 Å, I = 19.4; hkl 6 2 1, 2θ 57.59, 1.600 Å, I = 30.0; hkl 4 4 0, 2θ 61.18, 1.515 Å, I = 11.2; hkl 4 2 3, 2θ 61.37, 1.511 Å, I = 22.1; hkl 2 4 2, 2θ 61.81, 1.501 Å, I = 16.2

Structural model:
a = 11.197 Å, b = 7.206 Å, c = 6.207 Å
α = 90.00°, β = 90.00°, γ = 90.00°
Space group Pmn2_1 (No. 31)
Inequivalent atoms, fractional coordinates:
Sm: 0.000 0.126 0.000 x2
Sm: 0.250 0.124 0.332 x4
Er: 0.000 0.376 0.503 x2
Er: 0.000 0.623 0.999 x2
Er: 0.245 0.625 0.336 x4
Sc: 0.000 0.871 0.498 x2

---

(11)
Sm2Er7Sc3: simulated XRD peak list (Cu Kα), based on a crystal structure in Alexandria, relaxed with GGA-PBE.
Intensities are scaled so that the largest is 100.

Largest 12 diffraction maxima, in order of rising 2θ, 2θ from 5° to 70°:
hkl 1 7 0, 2θ 23.19, 3.835 Å, I = 19.9; hkl 0 0 1, 2θ 25.34, 3.514 Å, I = 16.8; hkl 0 4 1, 2θ 27.18, 3.281 Å, I = 17.6; hkl 0 12 0, 2θ 29.23, 3.056 Å, I = 23.4; hkl 1 11 0, 2θ 31.18, 2.869 Å, I = 51.5; hkl 2 0 0, 2θ 31.79, 2.815 Å, I = 55.4; hkl 1 5 1, 2θ 32.42, 2.762 Å, I = 40.9; hkl 1 7 1, 2θ 34.62, 2.591 Å, I = 100.0; hkl 2 12 0, 2θ 43.73, 2.070 Å, I = 15.7; hkl 3 7 1, 2θ 58.48, 1.578 Å, I = 21.9; hkl 2 0 2, 2θ 62.30, 1.490 Å, I = 16.7; hkl 4 0 0, 2θ 66.42, 1.407 Å, I = 16.3

Structural model:
a = 5.629 Å, b = 36.674 Å, c = 3.514 Å
α = 90.00°, β = 90.00°, γ = 90.00°
Space group Cmmm (No. 65)
Inequivalent atoms, fractional coordinates:
Sm: 0.000 0.175 0.000 x4
Er: 0.000 0.000 0.000 x2
Er: 0.000 0.089 0.500 x4
Er: 0.000 0.273 0.000 x4
Er: 0.000 0.430 0.000 x4
Sc: 0.000 0.352 0.500 x4
Sc: 0.000 0.500 0.500 x2

---

(12)
Sm4ErSc3: simulated XRD peak list (Cu Kα), based on a crystal structure in Alexandria, relaxed with GGA-PBE.
Intensities are scaled so that the largest is 100.

Largest 12 diffraction maxima, in order of rising 2θ, 2θ from 5° to 70°:
hkl 0 1 1, 2θ 18.13, 4.894 Å, I = 10.1; hkl 2 1 1, 2θ 25.66, 3.472 Å, I = 9.8; hkl 2 2 0, 2θ 31.59, 2.832 Å, I = 100.0; hkl 4 0 0, 2θ 36.46, 2.465 Å, I = 17.0; hkl 0 2 2, 2θ 36.73, 2.447 Å, I = 33.2; hkl 4 2 2, 2θ 52.71, 1.736 Å, I = 23.3; hkl 0 4 0, 2θ 52.84, 1.733 Å, I = 5.8; hkl 6 2 0, 2θ 62.58, 1.484 Å, I = 13.8; hkl 2 4 2, 2θ 62.90, 1.478 Å, I = 13.5; hkl 2 2 4, 2θ 63.00, 1.475 Å, I = 13.5; hkl 4 4 0, 2θ 65.90, 1.417 Å, I = 5.9; hkl 4 0 4, 2θ 66.04, 1.415 Å, I = 5.8

Structural model:
a = 9.858 Å, b = 6.931 Å, c = 6.911 Å
α = 90.00°, β = 90.00°, γ = 90.00°
Space group Pmna (No. 53)
Inequivalent atoms, fractional coordinates:
Sm: 0.000 0.000 0.000 x2
Sm: 0.000 0.500 0.000 x2
Sm: 0.250 0.246 0.250 x4
Er: 0.000 0.500 0.500 x2
Sc: 0.000 0.000 0.500 x2
Sc: 0.250 0.248 0.750 x4

---

(13)
Sm10Er4Sc: simulated XRD peak list (Cu Kα), based on a crystal structure in Alexandria, relaxed with GGA-PBE.
Intensities are scaled so that the largest is 100.

Largest 12 diffraction maxima, in order of rising 2θ, 2θ from 5° to 70°:
hkl 3 1 0, 2θ 24.63, 3.614 Å, I = 28.6; hkl 2 0 2, 2θ 28.11, 3.175 Å, I = 68.8; hkl 3 2 1, 2θ 30.54, 2.928 Å, I = 20.9; hkl 4 0 0, 2θ 31.31, 2.857 Å, I = 100.0; hkl 2 2 2, 2θ 32.26, 2.775 Å, I = 95.6; hkl 3 3 0, 2θ 33.26, 2.694 Å, I = 23.5; hkl 3 1 2, 2θ 34.16, 2.625 Å, I = 27.8; hkl 3 3 2, 2θ 41.00, 2.201 Å, I = 34.7; hkl 4 2 2, 2θ 42.57, 2.124 Å, I = 22.1; hkl 4 4 0, 2θ 44.86, 2.020 Å, I = 26.0; hkl 4 0 4, 2θ 58.11, 1.587 Å, I = 25.2; hkl 7 3 2, 2θ 67.01, 1.397 Å, I = 24.1

Structural model:
a = 11.428 Å, b = 11.428 Å, c = 7.636 Å
α = 90.00°, β = 90.00°, γ = 90.00°
Space group I4/mmm (No. 139)
Inequivalent atoms, fractional coordinates:
Sm: 0.000 0.211 0.219 x16
Sm: 0.000 0.500 0.250 x4
Er: 0.234 0.234 0.500 x8
Sc: 0.000 0.000 0.500 x2